# Nd6Hg3Ir
Calculated X-ray diffraction stick pattern, Cu Kα. Input: the GGA-PBE geometry in Alexandria.
Lines closer than 0.1° are merged.

Peak list (10 most intense, 2θ = 15–90°, by angle)
- 5.891 Å, I 41
- 3.342 Å, I 22
- 2.946 Å, I 24
- 2.929 Å, I 100
- 2.755 Å, I 67
- 2.663 Å, I 32
- 2.595 Å, I 64
- 2.315 Å, I 24
- 2.025 Å, I 19
- 1.432 Å, I 16

Cell lengths 8.5900, 8.5900, 8.5900 Å; angles 93.07, 93.07, 93.07 degrees
Fractional positions:
Nd 0.0387 0.9219 0.6848
Nd 0.0781 0.3152 0.9613
Nd 0.1848 0.4219 0.5387
Nd 0.3152 0.9613 0.0781
Nd 0.4219 0.5387 0.1848
Nd 0.4613 0.8152 0.5781
Nd 0.5387 0.1848 0.4219
Nd 0.5781 0.4613 0.8152
Nd 0.6848 0.0387 0.9219
Nd 0.8152 0.5781 0.4613
Nd 0.9219 0.6848 0.0387
Nd 0.9613 0.0781 0.3152
Hg 0.1484 0.7500 0.3516
Hg 0.2500 0.6484 0.8516
Hg 0.3516 0.1484 0.7500
Hg 0.6484 0.8516 0.2500
Hg 0.7500 0.3516 0.1484
Hg 0.8516 0.2500 0.6484
Ir 0.0000 0.0000 0.0000
Ir 0.5000 0.5000 0.5000

# Ba3AsI3
Calculated X-ray diffraction stick pattern, Cu Kα. Input: the GGA-PBE geometry in Alexandria.
Lines closer than 0.1° are merged.

Peak list (10 most intense, 2θ = 15–90°, by angle)
- 4.273 Å, I 13
- 3.629 Å, I 58
- 3.461 Å, I 100
- 2.536 Å, I 17
- 2.505 Å, I 79
- 2.368 Å, I 19
- 2.079 Å, I 18
- 1.983 Å, I 21
- 1.607 Å, I 17
- 1.562 Å, I 14

Cell lengths 10.0408, 10.0408, 10.0408 Å; angles 123.72, 119.32, 87.43 degrees
Fractional positions:
Ba 0.2583 0.0083 0.2500
Ba 0.2883 0.0000 0.7883
Ba 0.2883 0.5000 0.2883
Ba 0.7117 0.0000 0.2117
Ba 0.7117 0.5000 0.7117
Ba 0.7417 0.9917 0.7500
As 0.4733 0.2233 0.2500
As 0.5267 0.7767 0.7500
I 0.0000 0.2567 0.2567
I 0.0000 0.7433 0.7433
I 0.0072 0.7572 0.2500
I 0.5000 0.2567 0.7567
I 0.5000 0.7433 0.2433
I 0.9928 0.2428 0.7500

# Mo6OsRu
Calculated X-ray diffraction stick pattern, Cu Kα. Input: the GGA-PBE geometry in Alexandria.
Lines closer than 0.1° are merged.

Peak list (10 most intense, 2θ = 15–90°, by angle)
- 4.993 Å, I 7
- 3.531 Å, I 8
- 2.497 Å, I 46
- 2.233 Å, I 89
- 2.039 Å, I 100
- 1.441 Å, I 4
- 1.385 Å, I 19
- 1.335 Å, I 50
- 1.248 Å, I 16
- 1.117 Å, I 15

Cell lengths 4.9934, 4.9934, 4.9934 Å; angles 90.00, 90.00, 90.00 degrees
Fractional positions:
Mo 0.0000 0.2502 0.5000
Mo 0.0000 0.7498 0.5000
Mo 0.2502 0.5000 0.0000
Mo 0.5000 0.0000 0.2502
Mo 0.5000 0.0000 0.7498
Mo 0.7498 0.5000 0.0000
Os 0.0000 0.0000 0.0000
Ru 0.5000 0.5000 0.5000

# La4Pr3Tm2
Calculated X-ray diffraction stick pattern, Cu Kα. Input: the GGA-PBE geometry in Alexandria.
Lines closer than 0.1° are merged.

Peak list (10 most intense, 2θ = 15–90°, by angle)
- 2.980 Å, I 100
- 2.952 Å, I 15
- 2.934 Å, I 23
- 2.912 Å, I 22
- 2.817 Å, I 44
- 2.694 Å, I 28
- 2.662 Å, I 15
- 2.612 Å, I 15
- 1.870 Å, I 21
- 1.664 Å, I 14

Cell lengths 6.7711, 6.7711, 14.7625 Å; angles 114.55, 114.55, 32.07 degrees
Fractional positions:
La 0.2180 0.2180 0.1023
La 0.2808 0.2808 0.6274
La 0.7192 0.7192 0.3726
La 0.7820 0.7820 0.8977
Pr 0.4986 0.4986 0.8803
Pr 0.5000 0.5000 0.5000
Pr 0.5014 0.5014 0.1197
Tm 0.0552 0.0552 0.7105
Tm 0.9448 0.9448 0.2895